# LiNdDyMn
Calculated powder diffractogram, Cu Kα (weighted mean of Kα1 and Kα2). Input: a structure optimized by DFT (PBE).

Most intense lines, 5 to 70 degrees two-theta, most intense first:
- 35.07 deg, intensity 100.0
- 24.60 deg, intensity 54.5
- 62.92 deg, intensity 36.0
- 56.91 deg, intensity 22.6
- 50.45 deg, intensity 17.7
- 43.31 deg, intensity 16.6
- 21.27 deg, intensity 5.3
- 41.38 deg, intensity 2.6
- 55.34 deg, intensity 1.0
- 67.23 deg, intensity 0.7

Crystal structure
a = 7.2363 Å, b = 7.2363 Å, c = 7.2363 Å
α = 90.00°, β = 90.00°, γ = 90.00°
Space group F-43m (No. 216)
Inequivalent atoms, fractional coordinates:
Li 0.0000 0.0000 0.0000 (multiplicity 4)
Nd 0.2500 0.2500 0.2500 (multiplicity 4)
Dy 0.2500 0.2500 0.7500 (multiplicity 4)
Mn 0.0000 0.0000 0.5000 (multiplicity 4)

---

# Pr12SmDy2
Calculated powder diffractogram, Cu Kα (weighted mean of Kα1 and Kα2). Input: a structure optimized by DFT (PBE).

Most intense lines, 5 to 70 degrees two-theta, most intense first:
- 32.22 deg, intensity 100.0
- 29.78 deg, intensity 69.6
- 30.44 deg, intensity 69.0
- 29.05 deg, intensity 49.2
- 36.07 deg, intensity 33.5
- 28.34 deg, intensity 28.5
- 56.87 deg, intensity 20.9
- 30.84 deg, intensity 20.8
- 55.24 deg, intensity 20.2
- 59.89 deg, intensity 19.5

Crystal structure
a = 7.2633 Å, b = 11.7449 Å, c = 25.2570 Å
α = 90.00°, β = 90.00°, γ = 90.00°
Space group Cmme (No. 67)
Inequivalent atoms, fractional coordinates:
Pr 0.0000 0.0024 0.0738 (multiplicity 8)
Pr 0.0000 0.0243 0.5601 (multiplicity 8)
Pr 0.2300 0.2500 0.4153 (multiplicity 8)
Pr 0.2481 0.2500 0.8688 (multiplicity 8)
Pr 0.2500 0.0000 0.1991 (multiplicity 8)
Pr 0.2500 0.0000 0.3245 (multiplicity 8)
Sm 0.0000 0.2500 0.9988 (multiplicity 4)
Dy 0.0000 0.2500 0.2677 (multiplicity 4)
Dy 0.0000 0.2500 0.7284 (multiplicity 4)

---

# Ba3U2S9
Calculated powder diffractogram, Cu Kα (weighted mean of Kα1 and Kα2). Input: a structure optimized by DFT (PBE).

Most intense lines, 5 to 70 degrees two-theta, most intense first:
- 25.32 deg, intensity 100.0
- 33.09 deg, intensity 64.9
- 42.63 deg, intensity 59.0
- 14.54 deg, intensity 53.7
- 33.74 deg, intensity 50.7
- 50.23 deg, intensity 36.5
- 20.95 deg, intensity 33.1
- 21.77 deg, intensity 31.8
- 51.98 deg, intensity 31.5
- 30.16 deg, intensity 27.1

Crystal structure
a = 12.1874 Å, b = 12.1874 Å, c = 17.7080 Å
α = 90.00°, β = 90.00°, γ = 120.00°
Space group R-3c (No. 167, hexagonal axes)
Inequivalent atoms, fractional coordinates:
Ba 0.9999 0.3333 0.0833 (multiplicity 18)
U 0.0000 0.0000 0.1513 (multiplicity 12)
S 0.0000 0.1634 0.2500 (multiplicity 18)
S 0.0054 0.1810 0.9154 (multiplicity 36)

---

# La2TbNd4Ho
Calculated powder diffractogram, Cu Kα (weighted mean of Kα1 and Kα2). Input: a structure optimized by DFT (PBE).

Most intense lines, 5 to 70 degrees two-theta, most intense first:
- 29.86 deg, intensity 100.0
- 49.66 deg, intensity 18.3
- 49.86 deg, intensity 18.1
- 34.45 deg, intensity 17.1
- 34.62 deg, intensity 16.9
- 34.78 deg, intensity 16.7
- 58.90 deg, intensity 14.6
- 59.12 deg, intensity 14.4
- 59.34 deg, intensity 14.3
- 61.98 deg, intensity 6.3

Crystal structure
a = 5.1593 Å, b = 5.1824 Å, c = 10.4139 Å
α = 90.00°, β = 90.13°, γ = 90.00°
Space group P2/m (No. 10)
Inequivalent atoms, fractional coordinates:
La 0.0000 0.0000 0.0000 (multiplicity 1)
La 0.5000 0.5000 0.5000 (multiplicity 1)
Tb 0.0000 0.0000 0.5000 (multiplicity 1)
Nd 0.0007 0.5000 0.7510 (multiplicity 2)
Nd 0.5000 0.0000 0.2500 (multiplicity 2)
Ho 0.5000 0.5000 0.0000 (multiplicity 1)